Structure and computed powder diffractogram of PmSnS (the GGA-PBE geometry in Alexandria; λ = 1.5418 Å (Cu Kα)).

Principal peaks in the range 2θ from 10° to 80°, most intense first:
(3 1 1), 2.590 Å, 2θ 34.64, I = 100; (2 1 1), 2.904 Å, 2θ 30.79, I = 84; (2 0 2), 3.050 Å, 2θ 29.28, I = 78; (0 1 1), 3.259 Å, 2θ 27.36, I = 71; (1 1 3), 1.938 Å, 2θ 46.89, I = 46; (4 1 1), 2.283 Å, 2θ 39.48, I = 38; (3 0 2), 2.692 Å, 2θ 33.29, I = 33; (5 1 3), 1.556 Å, 2θ 59.39, I = 32; (5 0 4), 1.436 Å, 2θ 64.95, I = 28; (1 0 2), 3.349 Å, 2θ 26.61, I = 27

```
data_PmSnS
_chemical_formula_sum 'Pm4 Sn4 S4'
_cell_length_a 12.7928
_cell_length_b 3.6916
_cell_length_c 6.9408
_cell_angle_alpha 90.00
_cell_angle_beta 90.00
_cell_angle_gamma 90.00
_space_group_name_H-M_alt 'A m m 2'
_space_group_IT_number 38
_space_group_name_Hall 'A 2 -2'
loop_
_atom_site_label
_atom_site_fract_x
_atom_site_fract_y
_atom_site_fract_z
_atom_site_occupancy
Pm1 0.0000 0.0000 0.0000 1
Pm2 0.5000 0.0000 0.1268 1
Sn1 0.1902 0.0000 0.2971 1
S1 0.3664 0.0000 0.8057 1
```